# 1
Theoretical X-ray powder pattern of Bi for Cu Kα X-rays, from a crystal structure in Alexandria, relaxed with GGA-PBE.

Peak list (10 most intense, 10 to 90 degrees two-theta, in order of rising 2θ)
| 2θ (°) | d/Å | I_rel |
| --- | --- | --- |
| 27.06 | 3.296 | 79 |
| 27.25 | 3.272 | 100 |
| 27.55 | 3.237 | 97 |
| 30.43 | 2.937 | 34 |
| 38.78 | 2.322 | 62 |
| 39.00 | 2.309 | 62 |
| 39.14 | 2.301 | 79 |
| 41.31 | 2.186 | 31 |
| 48.23 | 1.887 | 68 |
| 64.98 | 1.435 | 26 |

Crystal structure
```
Bi
1.0
6.475 0.000 0.000
0.000 3.272 0.000
0.000 0.000 3.296
Bi
2
Direct
0.250 0.000 0.079
0.750 0.000 0.921
```

=====

# 2
Theoretical X-ray powder pattern of CaZn6Au2 for Cu Kα X-rays, from a crystal structure in Alexandria, relaxed with GGA-PBE.

Peak list (10 most intense, 10 to 90 degrees two-theta, in order of rising 2θ)
| 2θ (°) | d/Å | I_rel |
| --- | --- | --- |
| 22.63 | 3.929 | 62 |
| 24.19 | 3.679 | 41 |
| 33.36 | 2.686 | 28 |
| 34.32 | 2.613 | 48 |
| 36.60 | 2.455 | 36 |
| 41.37 | 2.182 | 39 |
| 41.50 | 2.176 | 100 |
| 46.21 | 1.964 | 58 |
| 63.75 | 1.460 | 22 |
| 82.35 | 1.171 | 32 |

Crystal structure
```
CaZn6Au2
1.0
3.929 0.000 0.000
0.000 3.929 0.000
0.000 0.000 10.497
Ca Zn Au
1 6 2
Direct
0.000 0.000 0.000
0.000 0.000 0.500
0.000 0.500 0.311
0.000 0.500 0.689
0.500 0.000 0.311
0.500 0.000 0.689
0.500 0.500 0.500
0.500 0.500 0.134
0.500 0.500 0.866
```

=====

# 3
Theoretical X-ray powder pattern of Rb2Na7Hg2 for Cu Kα X-rays, from a crystal structure in Alexandria, relaxed with GGA-PBE.

Peak list (10 most intense, 10 to 90 degrees two-theta, in order of rising 2θ)
| 2θ (°) | d/Å | I_rel |
| --- | --- | --- |
| 12.38 | 7.149 | 58 |
| 18.04 | 4.917 | 78 |
| 19.69 | 4.509 | 36 |
| 23.80 | 3.739 | 24 |
| 28.66 | 3.114 | 21 |
| 29.34 | 3.044 | 23 |
| 29.65 | 3.013 | 100 |
| 31.29 | 2.859 | 18 |
| 34.25 | 2.618 | 22 |
| 39.10 | 2.304 | 27 |

Crystal structure
```
Rb2Na7Hg2
1.0
7.608 -5.811 0.000
7.608 5.811 0.000
-1.793 0.000 4.920
Rb Na Hg
2 7 2
Direct
0.134 0.134 0.136
0.866 0.866 0.864
0.121 0.600 0.360
0.348 0.348 0.848
0.400 0.879 0.640
0.500 0.500 0.500
0.600 0.121 0.360
0.652 0.652 0.152
0.879 0.400 0.640
0.290 0.710 0.000
0.710 0.290 0.000
```